Theoretical powder diffractogram
Compound: Ba4La4Co8O23
Radiation: CuKα
Structure: a PBE+U-relaxed structure

Largest 8 diffraction maxima, in order of falling intensity, 15° ≤ 2θ ≤ 90°:
| d [Å] | 2θ/deg | intensity |
| --- | --- | --- |
| 2.785 | 32.14 | 100 |
| 2.776 | 32.25 | 98 |
| 2.810 | 31.85 | 97 |
| 2.278 | 39.56 | 45 |
| 1.600 | 57.62 | 39 |
| 1.619 | 56.86 | 38 |
| 1.614 | 57.07 | 37 |
| 1.993 | 45.50 | 33 |

Structural model:
Lattice parameters (Å, degrees): 15.948 7.922 8.746 90.00 117.14 90.00
Space group C2/m (No. 12)
Inequivalent atoms, fractional coordinates:
Ba  0.000  0.245  0.000
Ba  0.250  0.250  0.000
La  0.125  0.240  0.500
Co  0.062  0.000  0.746
Co  0.063  0.500  0.752
Co  0.187  0.500  0.254
Co  0.189  0.000  0.250
O  0.000  0.000  0.500
O  0.053  0.264  0.712
O  0.064  0.000  0.269
O  0.066  0.500  0.291
O  0.125  0.000  0.995
O  0.128  0.500  0.023
O  0.171  0.500  0.710
O  0.178  0.000  0.730
O  0.193  0.237  0.271
O  0.250  0.000  0.514

***

Theoretical powder diffractogram
Compound: BaLa2Co3O9
Radiation: CuKα
Structure: a PBE+U-relaxed structure

Largest 8 diffraction maxima, in order of falling intensity, 15° ≤ 2θ ≤ 90°:
| d [Å] | 2θ/deg | intensity |
| --- | --- | --- |
| 2.778 | 32.22 | 100 |
| 2.757 | 32.48 | 49 |
| 1.606 | 57.37 | 19 |
| 1.965 | 46.20 | 16 |
| 1.963 | 46.25 | 16 |
| 1.951 | 46.56 | 16 |
| 1.390 | 67.37 | 14 |
| 2.265 | 39.80 | 13 |

Structural model:
Lattice parameters (Å, degrees): 5.562 8.707 8.772 101.04 108.44 108.62
Space group P1 (No. 1)
Inequivalent atoms, fractional coordinates:
Ba  0.000  0.000  0.000
Ba  0.001  0.500  0.501
La  0.332  0.001  0.663
La  0.332  0.501  0.163
La  0.663  0.994  0.333
La  0.669  0.497  0.841
Co  0.000  0.749  0.251
Co  0.333  0.250  0.416
Co  0.334  0.751  0.916
Co  0.666  0.249  0.084
Co  0.666  0.748  0.585
Co  0.999  0.249  0.750
O  0.002  0.751  0.751
O  0.172  0.741  0.091
O  0.174  0.001  0.347
O  0.178  0.506  0.850
O  0.179  0.243  0.590
O  0.341  0.758  0.409
O  0.348  0.259  0.916
O  0.500  0.751  0.751
O  0.501  0.249  0.250
O  0.501  0.504  0.497
O  0.501  0.997  0.005
O  0.654  0.243  0.590
O  0.659  0.740  0.091
O  0.822  0.994  0.651
O  0.826  0.259  0.916
O  0.826  0.497  0.155
O  0.828  0.758  0.409
O  0.999  0.249  0.250

***

Theoretical powder diffractogram
Compound: BaLa2Co3O9
Radiation: CuKα
Structure: a PBE+U-relaxed structure

Largest 8 diffraction maxima, in order of falling intensity, 15° ≤ 2θ ≤ 90°:
| d [Å] | 2θ/deg | intensity |
| --- | --- | --- |
| 2.778 | 32.22 | 100 |
| 2.763 | 32.41 | 65 |
| 1.956 | 46.42 | 42 |
| 2.756 | 32.49 | 32 |
| 1.601 | 57.56 | 25 |
| 1.962 | 46.27 | 22 |
| 3.916 | 22.71 | 21 |
| 1.604 | 57.44 | 19 |

Structural model:
Lattice parameters (Å, degrees): 5.552 5.554 13.479 89.95 89.78 60.11
Space group P1 (No. 1)
Inequivalent atoms, fractional coordinates:
Ba  0.000  0.000  0.000
Ba  0.002  0.997  0.501
La  0.333  0.333  0.828
La  0.334  0.321  0.332
La  0.671  0.665  0.669
La  0.672  0.654  0.173
Co  0.000  0.000  0.749
Co  0.002  0.994  0.251
Co  0.335  0.332  0.584
Co  0.337  0.327  0.084
Co  0.667  0.666  0.917
Co  0.668  0.660  0.419
O  0.006  0.497  0.503
O  0.171  0.171  0.173
O  0.173  0.655  0.674
O  0.174  0.175  0.673
O  0.178  0.642  0.170
O  0.347  0.824  0.326
O  0.351  0.827  0.828
O  0.489  0.022  0.998
O  0.498  0.009  0.502
O  0.505  0.502  0.501
O  0.505  0.508  0.998
O  0.653  0.175  0.672
O  0.659  0.167  0.175
O  0.824  0.827  0.827
O  0.826  0.818  0.329
O  0.831  0.340  0.328
O  0.832  0.339  0.825
O  0.985  0.509  0.997

***

Theoretical powder diffractogram
Compound: BaLa2Co3O9
Radiation: CuKα
Structure: a PBE+U-relaxed structure

Largest 8 diffraction maxima, in order of falling intensity, 15° ≤ 2θ ≤ 90°:
| d [Å] | 2θ/deg | intensity |
| --- | --- | --- |
| 2.791 | 32.07 | 100 |
| 2.776 | 32.25 | 98 |
| 2.767 | 32.36 | 48 |
| 2.750 | 32.56 | 48 |
| 1.599 | 57.64 | 37 |
| 1.980 | 45.82 | 32 |
| 1.956 | 46.43 | 31 |
| 1.951 | 46.54 | 31 |

Structural model:
Lattice parameters (Å, degrees): 5.550 5.579 13.493 90.58 90.21 119.74
Space group P1 (No. 1)
Inequivalent atoms, fractional coordinates:
Ba  0.000  0.000  0.000
Ba  0.002  0.003  0.498
La  0.326  0.673  0.325
La  0.333  0.666  0.832
La  0.654  0.331  0.167
La  0.662  0.334  0.669
Co  0.326  0.666  0.081
Co  0.335  0.668  0.582
Co  0.661  0.334  0.415
Co  0.667  0.334  0.916
Co  0.994  0.002  0.249
Co  0.999  0.003  0.751
O  0.009  0.503  0.996
O  0.031  0.514  0.502
O  0.154  0.833  0.676
O  0.163  0.345  0.173
O  0.168  0.830  0.171
O  0.169  0.352  0.674
O  0.338  0.171  0.326
O  0.354  0.182  0.828
O  0.504  0.997  0.503
O  0.508  0.010  0.995
O  0.509  0.496  0.999
O  0.522  0.490  0.504
O  0.637  0.823  0.671
O  0.640  0.830  0.170
O  0.817  0.661  0.324
O  0.821  0.647  0.828
O  0.826  0.187  0.330
O  0.827  0.166  0.826

***

Theoretical powder diffractogram
Compound: BaLa3Co4O12
Radiation: CuKα
Structure: a PBE+U-relaxed structure

Largest 8 diffraction maxima, in order of falling intensity, 15° ≤ 2θ ≤ 90°:
| d [Å] | 2θ/deg | intensity |
| --- | --- | --- |
| 2.755 | 32.50 | 100 |
| 1.591 | 57.98 | 38 |
| 1.948 | 46.62 | 32 |
| 1.378 | 68.06 | 19 |
| 2.249 | 40.08 | 17 |
| 1.232 | 77.47 | 16 |
| 3.896 | 22.82 | 11 |
| 1.125 | 86.54 | 6 |

Structural model:
Lattice parameters (Å, degrees): 7.792 7.792 7.792 90.00 90.00 90.00
Space group Im-3m (No. 229)
Inequivalent atoms, fractional coordinates:
Ba  0.000  0.000  0.000
La  0.000  0.000  0.500
Co  0.250  0.250  0.250
O  0.000  0.257  0.257

***

Theoretical powder diffractogram
Compound: BaLuCo4O7
Radiation: CuKα
Structure: a PBE+U-relaxed structure

Largest 8 diffraction maxima, in order of falling intensity, 15° ≤ 2θ ≤ 90°:
| d [Å] | 2θ/deg | intensity |
| --- | --- | --- |
| 2.701 | 33.16 | 100 |
| 2.917 | 30.65 | 71 |
| 2.653 | 33.79 | 56 |
| 3.170 | 28.15 | 52 |
| 1.650 | 55.69 | 37 |
| 1.585 | 58.21 | 33 |
| 1.777 | 51.42 | 32 |
| 1.725 | 53.09 | 26 |

Structural model:
Lattice parameters (Å, degrees): 6.3394 6.3394 10.3275 90.00 90.00 120.00
Space group P6_3mc (No. 186)
Inequivalent atoms, fractional coordinates:
Ba  0.3333  0.6667  0.0000
Lu  0.3333  0.6667  0.3934
Co  0.0000  0.0000  0.4581
Co  0.1701  0.3403  0.7029
O  0.0000  0.0000  0.2583
O  0.0106  0.5053  0.7764
O  0.1696  0.3393  0.5168